Starting from DFT lattice parameters and positions (GGA-PBE), the powder diffractogram of Sr4Pr3Pb3N2 was simulated for Cu Ka.
Peak positions follow from Bragg's law for the DFT cell and can differ from measured ones.

Crystal structure
abc: 13.1721 13.1721 5.1004
angles: 90.00 90.00 157.21
Fractional coordinates of all 12 atoms:
Sr: 0.0965 0.9035 0.0000
Sr: 0.4002 0.5998 0.5000
Sr: 0.5998 0.4002 0.5000
Sr: 0.9035 0.0965 0.0000
Pr: 0.0000 0.0000 0.5000
Pr: 0.1954 0.8046 0.5000
Pr: 0.8046 0.1954 0.5000
Pb: 0.3042 0.6958 0.0000
Pb: 0.5000 0.5000 0.0000
Pb: 0.6958 0.3042 0.0000
N: 0.1013 0.8987 0.5000
N: 0.8987 0.1013 0.5000

Principal peaks in the range 10 to 90 degrees two-theta, by angle:
2θ/deg	Rel. int.
24.68	9
30.02	100
34.47	19
34.74	18
35.19	18
49.74	13
50.08	13
50.28	13
59.02	15
59.37	14
59.98	14
62.39	13

Starting from DFT lattice parameters and positions (GGA-PBE), the powder diffractogram of SrCdFe2 was simulated for Cu Ka.
Peak positions follow from Bragg's law for the DFT cell and can differ from measured ones.

Crystal structure
abc: 6.8688 6.8688 6.8688
angles: 90.00 90.00 90.00
Fractional coordinates of all 16 atoms:
Sr: 0.0000 0.0000 0.0000
Sr: 0.0000 0.5000 0.5000
Sr: 0.5000 0.0000 0.5000
Sr: 0.5000 0.5000 0.0000
Cd: 0.2500 0.2500 0.2500
Cd: 0.2500 0.7500 0.7500
Cd: 0.7500 0.2500 0.7500
Cd: 0.7500 0.7500 0.2500
Fe: 0.0000 0.0000 0.5000
Fe: 0.0000 0.5000 0.0000
Fe: 0.2500 0.2500 0.7500
Fe: 0.2500 0.7500 0.2500
Fe: 0.5000 0.0000 0.0000
Fe: 0.5000 0.5000 0.5000
Fe: 0.7500 0.2500 0.2500
Fe: 0.7500 0.7500 0.7500

Principal peaks in the range 10 to 90 degrees two-theta, by angle:
2θ/deg	Rel. int.
22.42	9
25.94	1
37.02	100
43.71	5
53.35	17
58.58	2
66.71	33
71.35	2
78.82	10
83.21	2

Starting from DFT lattice parameters and positions (GGA-PBE), the powder diffractogram of NdZrAu6 was simulated for Cu Ka.
Peak positions follow from Bragg's law for the DFT cell and can differ from measured ones.

Crystal structure
abc: 4.9716 6.2740 5.0901
angles: 90.00 90.00 90.00
Fractional coordinates of all 8 atoms:
Nd: 0.0000 0.0000 0.0000
Zr: 0.5000 0.5000 0.3194
Au: 0.0000 0.2701 0.4989
Au: 0.0000 0.5000 0.0069
Au: 0.0000 0.7299 0.4989
Au: 0.5000 0.0000 0.3505
Au: 0.5000 0.2638 0.8260
Au: 0.5000 0.7362 0.8260

Principal peaks in the range 10 to 90 degrees two-theta, by angle:
2θ/deg	Rel. int.
33.56	24
35.26	10
36.13	40
38.26	100
39.79	47
50.14	16
62.20	16
66.39	20
67.44	10
71.07	10
73.43	14
74.10	19

Starting from DFT lattice parameters and positions (GGA-PBE), the powder diffractogram of Hg was simulated for Cu Ka.
Peak positions follow from Bragg's law for the DFT cell and can differ from measured ones.

Crystal structure
abc: 4.1464 4.1464 11.5123
angles: 90.00 90.00 120.00
Fractional coordinates of all 6 atoms:
Hg: 0.0000 0.0000 0.2505
Hg: 0.0000 0.0000 0.7495
Hg: 0.3333 0.6667 0.4162
Hg: 0.3333 0.6667 0.9171
Hg: 0.6667 0.3333 0.0829
Hg: 0.6667 0.3333 0.5838

Principal peaks in the range 10 to 90 degrees two-theta, by angle:
2θ/deg	Rel. int.
29.31	100
40.15	44
43.66	35
47.38	9
53.46	19
60.81	13
66.39	20
70.50	9
71.41	17
77.81	13
80.19	6
86.72	5